Entry 1:
Li4MnCo2O7: calculated powder X-ray diffraction pattern (Cu Kα X-rays), based on a PBE+U-relaxed structure.
Intensities are scaled so that the largest is 100.

Largest 8 diffraction maxima, in order of rising 2θ, 15 to 90 degrees two-theta:
hkl	d/Å	intensity
0 0 7	4.885	100
2 0 1	2.589	18
1 1 -3	2.474	25
2 0 8	2.165	33
1 1 -10	2.058	54
1 1 11	1.926	10
1 1 18	1.494	16
3 1 -2	1.490	16

Structural model:
```
data_Li4MnCo2O7
_chemical_formula_sum 'Li16 Mn4 Co8 O28'
_symmetry_space_group_name_H-M 'C 1 m 1'
_symmetry_Int_Tables_number 8
_cell_length_a 5.2310
_cell_length_b 2.8720
_cell_length_c 34.2657
_cell_angle_alpha 90.00
_cell_angle_beta 93.75
_cell_angle_gamma 90.00
loop_
_symmetry_equiv_pos_as_xyz
'x,y,z'
'x,-y,z'
'x+1/2,y+1/2,z'
'x+1/2,-y+1/2,z'
loop_
_atom_site_label
_atom_site_type_symbol
_atom_site_fract_x
_atom_site_fract_y
_atom_site_fract_z
Li1 Li 0.0000 0.0000 0.0000
Li2 Li 0.0043 0.0000 0.5019
Li3 Li 0.0800 0.5000 0.3604
Li4 Li 0.1435 0.0000 0.2140
Li5 Li 0.2107 0.5000 0.0722
Li6 Li 0.3058 0.0000 0.9363
Li7 Li 0.3581 0.5000 0.7857
Li8 Li 0.4337 0.0000 0.6434
Mn1 Mn 0.0781 0.5000 0.8580
Mn2 Mn 0.3605 0.5000 0.2877
Co1 Co 0.1474 0.0000 0.7151
Co2 Co 0.2202 0.5000 0.5730
Co3 Co 0.2909 0.0000 0.4310
Co4 Co 0.4327 0.0000 0.1448
O1 O 0.0781 0.0000 0.1139
O2 O 0.0979 0.0000 0.6047
O3 O 0.1476 0.5000 0.9651
O4 O 0.1674 0.5000 0.4626
O5 O 0.2017 0.0000 0.8247
O6 O 0.2434 0.0000 0.3214
O7 O 0.2898 0.5000 0.1779
O8 O 0.3125 0.5000 0.6829
O9 O 0.3429 0.0000 0.5414
O10 O 0.3624 0.0000 0.0384
O11 O 0.4146 0.5000 0.3994
O12 O 0.4448 0.5000 0.8886
O13 O 0.4804 0.0000 0.2548
O14 O 0.4845 0.0000 0.7476
```



Entry 2:
Li7Mn4CoO12: calculated powder X-ray diffraction pattern (Cu Kα X-rays), based on a PBE+U-relaxed structure.
Intensities are scaled so that the largest is 100.

Largest 8 diffraction maxima, in order of rising 2θ, 15 to 90 degrees two-theta:
hkl	d/Å	intensity
0 1 0	4.826	100
0 0 6	2.603	14
1 0 -3	2.475	19
1 -1 3	2.466	11
0 1 6	2.170	27
1 1 -3	2.053	27
1 -2 3	2.042	26
2 -1 0	1.434	7

Structural model:
```
data_Li7Mn4CoO12
_chemical_formula_sum 'Li7 Mn4 Co1 O12'
_symmetry_space_group_name_H-M 'P -1'
_symmetry_Int_Tables_number 2
_cell_length_a 2.8684
_cell_length_b 5.0752
_cell_length_c 15.7664
_cell_angle_alpha 97.50
_cell_angle_beta 90.24
_cell_angle_gamma 106.18
loop_
_symmetry_equiv_pos_as_xyz
'x,y,z'
'-x,-y,-z'
loop_
_atom_site_label
_atom_site_type_symbol
_atom_site_fract_x
_atom_site_fract_y
_atom_site_fract_z
Li1 Li 0.0000 0.0000 0.0000
Li2 Li 0.2348 0.4668 0.2379
Li3 Li 0.2474 0.4982 0.5812
Li4 Li 0.2552 0.5159 0.9277
Mn1 Mn 0.0089 0.0226 0.6714
Mn2 Mn 0.4816 0.9616 0.1538
Co1 Co 0.5000 0.0000 0.5000
O1 O 0.0981 0.1989 0.1273
O2 O 0.1215 0.2228 0.4633
O3 O 0.1249 0.2561 0.8018
O4 O 0.3774 0.7538 0.0498
O5 O 0.3821 0.7567 0.3704
O6 O 0.4004 0.8059 0.7160
```



Entry 3:
Li7Mn2Co3O12: calculated powder X-ray diffraction pattern (Cu Kα X-rays), based on a PBE+U-relaxed structure.
Intensities are scaled so that the largest is 100.

Largest 8 diffraction maxima, in order of rising 2θ, 15 to 90 degrees two-theta:
hkl	d/Å	intensity
0 0 2	4.838	100
6 0 -2	2.527	14
3 1 -2	2.477	25
6 0 0	2.100	28
3 1 -4	2.064	56
3 1 -6	1.598	10
3 1 4	1.474	14
9 1 -4	1.470	15

Structural model:
```
data_Li7Mn2Co3O12
_chemical_formula_sum 'Li14 Mn4 Co6 O24'
_symmetry_space_group_name_H-M 'C 1 m 1'
_symmetry_Int_Tables_number 8
_cell_length_a 15.3777
_cell_length_b 2.8874
_cell_length_c 11.8117
_cell_angle_alpha 90.00
_cell_angle_beta 124.99
_cell_angle_gamma 90.00
loop_
_symmetry_equiv_pos_as_xyz
'x,y,z'
'x,-y,z'
'x+1/2,y+1/2,z'
'x+1/2,-y+1/2,z'
loop_
_atom_site_label
_atom_site_type_symbol
_atom_site_fract_x
_atom_site_fract_y
_atom_site_fract_z
Li1 Li 0.0000 0.0000 0.0000
Li2 Li 0.0033 0.0000 0.7624
Li3 Li 0.0075 0.0000 0.5183
Li4 Li 0.1592 0.5000 0.9892
Li5 Li 0.1726 0.5000 0.5225
Li6 Li 0.3284 0.0000 0.0036
Li7 Li 0.3502 0.0000 0.5253
Mn1 Mn 0.1725 0.5000 0.2648
Mn2 Mn 0.3422 0.0000 0.7651
Co1 Co 0.0023 0.0000 0.2622
Co2 Co 0.1539 0.5000 0.7516
Co3 Co 0.3369 0.0000 0.2558
O1 O 0.0107 0.5000 0.6353
O2 O 0.0165 0.5000 0.1600
O3 O 0.1687 0.0000 0.1513
O4 O 0.1701 0.0000 0.8746
O5 O 0.1754 0.0000 0.3767
O6 O 0.1810 0.0000 0.6522
O7 O 0.3257 0.5000 0.3701
O8 O 0.3346 0.5000 0.1377
O9 O 0.3356 0.5000 0.6494
O10 O 0.3355 0.5000 0.8722
O11 O 0.4900 0.0000 0.8778
O12 O 0.4994 0.0000 0.3728
```



Entry 4:
Li4MnCo2O7: calculated powder X-ray diffraction pattern (Cu Kα X-rays), based on a PBE+U-relaxed structure.
Intensities are scaled so that the largest is 100.

Largest 8 diffraction maxima, in order of rising 2θ, 15 to 90 degrees two-theta:
hkl	d/Å	intensity
0 0 1	4.809	100
2 0 -1	2.567	17
1 7 0	2.463	24
2 0 -2	2.148	31
1 7 1	2.039	53
1 7 -2	1.913	9
1 7 2	1.576	10
3 7 -1	1.479	31

Structural model:
```
data_Li4MnCo2O7
_chemical_formula_sum 'Li16 Mn4 Co8 O28'
_symmetry_space_group_name_H-M 'C 1 2 1'
_symmetry_Int_Tables_number 5
_cell_length_a 5.1817
_cell_length_b 20.0725
_cell_length_c 5.1840
_cell_angle_alpha 90.00
_cell_angle_beta 111.94
_cell_angle_gamma 90.00
loop_
_symmetry_equiv_pos_as_xyz
'x,y,z'
'-x,y,-z'
'x+1/2,y+1/2,z'
'-x+1/2,y+1/2,-z'
loop_
_atom_site_label
_atom_site_type_symbol
_atom_site_fract_x
_atom_site_fract_y
_atom_site_fract_z
Li1 Li 0.0000 0.9997 0.0000
Li2 Li 0.0000 0.0676 0.5000
Li3 Li 0.0000 0.2073 0.5000
Li4 Li 0.0000 0.3574 0.5000
Li5 Li 0.0000 0.5000 0.5000
Li6 Li 0.0000 0.6390 0.5000
Li7 Li 0.0000 0.7832 0.5000
Li8 Li 0.0000 0.9302 0.5000
Mn1 Mn 0.0000 0.2828 0.0000
Mn2 Mn 0.0000 0.4265 0.0000
Co1 Co 0.0000 0.1391 0.0000
Co2 Co 0.0000 0.5695 0.0000
Co3 Co 0.0000 0.7108 0.0000
Co4 Co 0.0000 0.8562 0.0000
O1 O 0.2177 0.4939 0.2386
O2 O 0.2261 0.3533 0.2365
O3 O 0.2261 0.6438 0.2314
O4 O 0.2270 0.2145 0.2310
O5 O 0.2395 0.0751 0.2253
O6 O 0.2472 0.4214 0.7914
O7 O 0.2469 0.7832 0.2044
```